Diffraction record for ZnS. The powder diffraction line list is simulated, not measured: it uses a crystal structure in the Materials Project, relaxed with GGA-PBE and copper Kα.

Crystal structure
a b c (Å): 25.251 25.251 25.251
angles (deg): 8.76 8.76 8.76
Sites, in units of the cell vectors:
Zn 0.000 0.000 0.000
Zn 0.083 0.083 0.083
Zn 0.167 0.167 0.167
Zn 0.292 0.292 0.292
Zn 0.458 0.458 0.458
Zn 0.583 0.583 0.583
Zn 0.708 0.708 0.708
Zn 0.875 0.875 0.875
S 0.031 0.031 0.031
S 0.115 0.115 0.115
S 0.198 0.198 0.198
S 0.323 0.323 0.323
S 0.490 0.490 0.490
S 0.615 0.615 0.615
S 0.740 0.740 0.740
S 0.906 0.906 0.906

Most intense lines, 2θ from 10° to 90°, sorted by position:
- 26.78°, intensity 15.1
- 27.98°, intensity 100.0
- 28.38°, intensity 81.9
- 29.25°, intensity 47.3
- 31.52°, intensity 16.0
- 46.15°, intensity 36.1
- 47.15°, intensity 89.8
- 49.30°, intensity 25.0
- 55.95°, intensity 60.0
- 87.69°, intensity 14.9